Entry 1:
For Na2Cu2ReO6, a DFT-relaxed cell (GGA-PBE, Alexandria) gives the computed PXRD pattern in this record (Cu Kα, 1.54184 Å).
No peak broadening, texture or thermal motion is included.

Peak list (8 most intense, 2θ = 10–80°, by intensity)
Position (°2θ), d [Å], intensity
14.48, 6.117, 100.0
23.56, 3.776, 99.3
34.78, 2.579, 71.5
32.30, 2.771, 66.7
35.56, 2.524, 44.1
59.21, 1.560, 34.7
48.20, 1.888, 32.1
18.48, 4.800, 29.6

Structure:
Cell lengths 5.543, 5.543, 6.117 Å; angles 90.00, 90.00, 120.00 degrees
Element x y z (fractional)
Na (0.333, 0.667, 0.312)
Na (0.667, 0.333, 0.688)
Cu (0.333, 0.667, 0.817)
Cu (0.667, 0.333, 0.183)
Re (0.000, 0.000, 0.000)
O (0.041, 0.298, 0.817)
O (0.258, 0.959, 0.817)
O (0.298, 0.258, 0.183)
O (0.702, 0.742, 0.817)
O (0.742, 0.041, 0.183)
O (0.959, 0.702, 0.183)

=====

Entry 2:
For NaCuS2O8, a DFT-relaxed cell (GGA-PBE, Alexandria) gives the computed PXRD pattern in this record (Cu Kα, 1.54184 Å).
No peak broadening, texture or thermal motion is included.

Peak list (8 most intense, 2θ = 10–80°, by intensity)
Position (°2θ), d [Å], intensity
26.66, 3.344, 100.0
11.48, 7.711, 49.8
38.05, 2.365, 41.0
62.07, 1.495, 25.3
68.72, 1.366, 17.1
44.96, 2.016, 16.7
22.03, 4.035, 14.9
47.06, 1.931, 12.9

Structure:
Cell lengths 8.181, 8.181, 8.181 Å; angles 33.62, 33.62, 33.62 degrees
Element x y z (fractional)
Na (0.000, 0.000, 0.000)
Cu (0.500, 0.500, 0.500)
S (0.241, 0.241, 0.241)
S (0.759, 0.759, 0.759)
O (0.088, 0.489, 0.762)
O (0.238, 0.912, 0.511)
O (0.305, 0.305, 0.305)
O (0.489, 0.762, 0.088)
O (0.511, 0.238, 0.912)
O (0.695, 0.695, 0.695)
O (0.762, 0.088, 0.489)
O (0.912, 0.511, 0.238)

=====

Entry 3:
For Na2Cu5TeS3O19, a DFT-relaxed cell (GGA-PBE, Alexandria) gives the computed PXRD pattern in this record (Cu Kα, 1.54184 Å).
No peak broadening, texture or thermal motion is included.

Peak list (8 most intense, 2θ = 10–80°, by intensity)
Position (°2θ), d [Å], intensity
12.73, 6.956, 100.0
28.10, 3.175, 66.0
28.25, 3.159, 49.8
26.15, 3.408, 43.4
36.24, 2.479, 42.4
24.41, 3.646, 38.2
40.27, 2.239, 22.7
31.21, 2.865, 22.2

Structure:
Cell lengths 7.516, 11.882, 9.288 Å; angles 90.00, 112.27, 90.00 degrees
Element x y z (fractional)
Na (0.000, 0.000, 0.000)
Na (0.000, 0.500, 0.000)
Na (0.028, 0.250, 0.465)
Na (0.972, 0.750, 0.535)
Cu (0.447, 0.623, 0.714)
Cu (0.447, 0.877, 0.714)
Cu (0.498, 0.134, 0.715)
Cu (0.498, 0.366, 0.715)
Cu (0.500, 0.000, 0.000)
Cu (0.500, 0.500, 0.000)
Cu (0.502, 0.634, 0.285)
Cu (0.502, 0.866, 0.285)
Cu (0.553, 0.123, 0.286)
Cu (0.553, 0.377, 0.286)
Te (0.225, 0.250, 0.921)
Te (0.775, 0.750, 0.079)
S (0.150, 0.750, 0.938)
S (0.186, 0.531, 0.386)
S (0.186, 0.969, 0.386)
S (0.814, 0.031, 0.614)
S (0.814, 0.469, 0.614)
S (0.850, 0.250, 0.062)
O (0.021, 0.567, 0.248)
O (0.021, 0.933, 0.248)
O (0.068, 0.250, 0.096)
O (0.168, 0.081, 0.443)
O (0.168, 0.419, 0.443)
O (0.176, 0.750, 0.789)
O (0.221, 0.619, 0.510)
O (0.221, 0.881, 0.510)
O (0.232, 0.646, 0.028)
O (0.232, 0.854, 0.028)
O (0.349, 0.250, 0.758)
O (0.364, 0.521, 0.343)
O (0.364, 0.979, 0.343)
O (0.376, 0.129, 0.051)
O (0.376, 0.371, 0.051)
O (0.390, 0.017, 0.787)
O (0.390, 0.483, 0.787)
O (0.416, 0.750, 0.364)
O (0.460, 0.250, 0.337)
O (0.540, 0.750, 0.663)
O (0.584, 0.250, 0.636)
O (0.610, 0.517, 0.213)
O (0.610, 0.983, 0.213)
O (0.624, 0.629, 0.949)
O (0.624, 0.871, 0.949)
O (0.636, 0.021, 0.657)
O (0.636, 0.479, 0.657)
O (0.651, 0.750, 0.242)
O (0.768, 0.146, 0.972)
O (0.768, 0.354, 0.972)
O (0.779, 0.119, 0.490)
O (0.779, 0.381, 0.490)
O (0.824, 0.250, 0.211)
O (0.832, 0.581, 0.557)
O (0.832, 0.919, 0.557)
O (0.932, 0.750, 0.904)
O (0.979, 0.067, 0.752)
O (0.979, 0.433, 0.752)